No. 1
This entry pairs a crystal structure of Dy6Zn23 with its simulated X-ray powder pattern. Radiation: Cu Kα X-rays. Structure: DFT lattice parameters and positions (PBE).
No peak broadening, texture or thermal motion is included.

Top 10 peaks for 2θ = 10–90°, in order of rising 2θ:
d/Å, I/Imax
3.663, 14
2.911, 17
2.590, 27
2.442, 73
2.243, 100
2.115, 16
1.550, 13
1.495, 20
1.295, 13
1.275, 16

Atomic structure:
```
data_Dy6Zn23
_cell_length_a 12.6886
_cell_length_b 12.6886
_cell_length_c 12.6886
_cell_angle_alpha 90.00
_cell_angle_beta 90.00
_cell_angle_gamma 90.00
_space_group_name_H-M_alt 'F m -3 m'
_space_group_IT_number 225
_space_group_name_Hall '-F 4 2 3'
loop_
_atom_site_label
_atom_site_type_symbol
_atom_site_fract_x
_atom_site_fract_y
_atom_site_fract_z
Dy1 Dy 0.0000 0.0000 0.2080
Zn1 Zn 0.0000 0.0000 0.5000
Zn2 Zn 0.0000 0.2500 0.2500
Zn3 Zn 0.1232 0.1232 0.3768
Zn4 Zn 0.1713 0.1713 0.1713
```

***

No. 2
This entry pairs a crystal structure of Cd4Pd3Au3 with its simulated X-ray powder pattern. Radiation: Cu Kα X-rays. Structure: DFT lattice parameters and positions (PBE).
No peak broadening, texture or thermal motion is included.

Top 10 peaks for 2θ = 10–90°, in order of rising 2θ:
d/Å, I/Imax
3.759, 9
3.255, 17
2.461, 100
2.059, 39
1.879, 8
1.681, 30
1.357, 15
1.329, 15
1.277, 8
1.169, 18

Atomic structure:
```
data_Cd4Pd3Au3
_cell_length_a 9.2069
_cell_length_b 9.2069
_cell_length_c 9.2069
_cell_angle_alpha 90.00
_cell_angle_beta 90.00
_cell_angle_gamma 90.00
_space_group_name_H-M_alt 'I -4 3 d'
_space_group_IT_number 220
_space_group_name_Hall 'I -4bd 2c 3'
loop_
_atom_site_label
_atom_site_type_symbol
_atom_site_fract_x
_atom_site_fract_y
_atom_site_fract_z
Cd1 Cd 0.1193 0.3807 0.6193
Pd1 Pd 0.0000 0.2500 0.3750
Au1 Au 0.0000 0.2500 0.8750
```

***

No. 3
This entry pairs a crystal structure of La7PrCo3 with its simulated X-ray powder pattern. Radiation: Cu Kα X-rays. Structure: DFT lattice parameters and positions (PBE).
No peak broadening, texture or thermal motion is included.

Top 10 peaks for 2θ = 10–90°, in order of rising 2θ:
d/Å, I/Imax
3.410, 10
3.266, 18
3.023, 100
2.359, 30
1.969, 26
1.835, 24
1.686, 16
1.650, 17
1.264, 14
1.257, 11

Atomic structure:
```
data_La7PrCo3
_cell_length_a 7.8749
_cell_length_b 7.8749
_cell_length_c 6.5329
_cell_angle_alpha 90.00
_cell_angle_beta 90.00
_cell_angle_gamma 120.00
_space_group_name_H-M_alt 'P 3 m 1'
_space_group_IT_number 156
_space_group_name_Hall 'P 3 -2"'
loop_
_atom_site_label
_atom_site_type_symbol
_atom_site_fract_x
_atom_site_fract_y
_atom_site_fract_z
La1 La 0.0000 0.0000 0.0000
La2 La 0.0029 0.5015 0.0006
La3 La 0.3320 0.1660 0.4801
Pr1 Pr 0.3333 0.6667 0.4837
Co1 Co 0.1656 0.3312 0.2377
```

***

No. 4
This entry pairs a crystal structure of La5Tb3Pm3 with its simulated X-ray powder pattern. Radiation: Cu Kα X-rays. Structure: DFT lattice parameters and positions (PBE).
No peak broadening, texture or thermal motion is included.

Top 10 peaks for 2θ = 10–90°, in order of rising 2θ:
d/Å, I/Imax
3.765, 36
3.320, 79
2.985, 88
2.876, 34
2.763, 100
2.561, 74
2.220, 83
1.912, 42
1.499, 40
1.476, 30

Atomic structure:
```
data_La5Tb3Pm3
_cell_length_a 11.5023
_cell_length_b 11.5023
_cell_length_c 3.4925
_cell_angle_alpha 90.00
_cell_angle_beta 90.00
_cell_angle_gamma 120.00
_space_group_name_H-M_alt 'P -6 2 m'
_space_group_IT_number 189
_space_group_name_Hall 'P -6 -2'
loop_
_atom_site_label
_atom_site_type_symbol
_atom_site_fract_x
_atom_site_fract_y
_atom_site_fract_z
La1 La 0.0000 0.6621 0.0000
La2 La 0.3333 0.6667 0.0000
Tb1 Tb 0.0000 0.1592 0.0000
Pm1 Pm 0.0000 0.4013 0.5000
```

***

- What is the formula in the fourth record?
  La5Tb3Pm3